The following is a calculated powder diffraction line list of TeAsS. It was derived from the GGA-PBE geometry in Alexandria, using CuKα.
Peak positions follow from Bragg's law for the DFT cell and can differ from measured ones.

Crystal structure
Unit cell a=4.0152 b=3.2247 c=7.2590 alpha=90.00 beta=103.74 gamma=90.00
Fractional positions:
Te 0.0000 0.0000 0.0000
As 0.8466 0.0000 0.3436
S 0.2086 0.5000 0.4995

Top 8 peaks for 2θ from 10° to 90°, in order of rising 2θ:
h k l, Position (°2θ), intensity
0 0 1, 12.55, 75
1 0 0, 22.80, 100
0 0 2, 25.26, 52
0 1 0, 27.66, 53
1 0 -2, 29.85, 62
0 1 1, 30.48, 51
1 1 0, 36.14, 65
1 1 1, 40.26, 50